1.
# Nd2Sn5
Calculated powder diffraction line list, Cu Kα, 1.54184 Å. Input: a DFT-relaxed cell (GGA-PBE, the Materials Project).
Lines closer than 0.1° are merged.

Principal peaks in the range 10 to 90 degrees two-theta, sorted by position:
Position (°2θ)	intensity
32.36	100
35.42	18
38.44	17
38.68	17
53.25	10
53.44	10
55.67	12
65.71	14
66.05	13
67.73	10

Cell and atoms:
Cell: 17.8970 17.8970 4.6841 Å, 90.00 90.00 165.05°
Positions (direct):
Nd (0.0676, 0.9324, 0.0000)
Nd (0.2021, 0.7979, 0.0000)
Nd (0.7979, 0.2021, 0.0000)
Nd (0.9324, 0.0676, 0.0000)
Sn (0.0000, 0.0000, 0.5000)
Sn (0.1379, 0.8621, 0.5000)
Sn (0.2788, 0.7212, 0.5000)
Sn (0.3627, 0.6373, 0.0000)
Sn (0.4292, 0.5708, 0.5000)
Sn (0.5000, 0.5000, 0.0000)
Sn (0.5708, 0.4292, 0.5000)
Sn (0.6373, 0.3627, 0.0000)
Sn (0.7212, 0.2788, 0.5000)
Sn (0.8621, 0.1379, 0.5000)


2.
# NdSn2
Calculated powder diffraction line list, Cu Kα, 1.54184 Å. Input: a DFT-relaxed cell (GGA-PBE, the Materials Project).
Lines closer than 0.1° are merged.

Principal peaks in the range 10 to 90 degrees two-theta, sorted by position:
Position (°2θ)	intensity
32.31	100
33.16	17
39.12	17
39.86	16
52.20	10
52.79	13
57.08	11
58.70	7
66.62	13
67.63	21

Cell and atoms:
Cell: 8.4153 8.4153 4.6050 Å, 90.00 90.00 148.82°
Positions (direct):
Nd (0.1447, 0.8553, 0.0000)
Nd (0.8553, 0.1447, 0.0000)
Sn (0.0000, 0.0000, 0.5000)
Sn (0.3149, 0.6851, 0.5000)
Sn (0.5000, 0.5000, 0.0000)
Sn (0.6851, 0.3149, 0.5000)